Ce7ZrO16: computed XRD peak list (λ = 1.5418 Å (Cu Kα)), based on a PBE-relaxed structure.
Kinematic intensities with the Lorentz-polarization factor, no thermal factor.

Main lines, by angle (10° ≤ 2θ ≤ 90°):
20.04 deg, rel. 1, hkl 1 0 1; 28.48 deg, rel. 100, hkl 2 0 1; 33.00 deg, rel. 28, hkl 2 2 0; 47.36 deg, rel. 55, hkl 4 0 0; 56.19 deg, rel. 44, hkl 2 0 3; 58.93 deg, rel. 8, hkl 4 0 2; 69.22 deg, rel. 8, hkl 0 0 4; 76.48 deg, rel. 18, hkl 4 2 3; 78.85 deg, rel. 11, hkl 2 2 4; 88.16 deg, rel. 17, hkl 4 0 4

Lattice parameters (Å, degrees): 7.6797 7.6797 5.4261 90.00 90.00 90.00
Space group P4/mmm (No. 123)
Asymmetric unit:
Ce  0.0000  0.0000  0.0000 x1
Ce  0.0000  0.5000  0.0000 x2
Ce  0.2530  0.2530  0.5000 x4
Zr  0.5000  0.5000  0.0000 x1
O  0.0000  0.2522  0.2506 x8
O  0.2583  0.5000  0.2430 x8

=====

CeZrO4: computed XRD peak list (λ = 1.5418 Å (Cu Kα)), based on a PBE-relaxed structure.
Kinematic intensities with the Lorentz-polarization factor, no thermal factor.

Main lines, by angle (10° ≤ 2θ ≤ 90°):
14.43 deg, rel. 4, hkl 1 1 1; 27.84 deg, rel. 3, hkl 3 1 1; 29.10 deg, rel. 100, hkl 2 2 2; 33.73 deg, rel. 26, hkl 4 0 0; 48.45 deg, rel. 57, hkl 4 4 0; 57.52 deg, rel. 43, hkl 6 2 2; 60.33 deg, rel. 7, hkl 4 4 4; 70.94 deg, rel. 8, hkl 8 0 0; 78.44 deg, rel. 17, hkl 6 6 2; 80.90 deg, rel. 10, hkl 8 4 0

Lattice parameters (Å, degrees): 10.6285 10.6285 10.6285 90.00 90.00 90.00
Space group Fd-3m (No. 227, origin choice 2)
Asymmetric unit:
Ce  0.0000  0.0000  0.0000 x16
Zr  0.0000  0.0000  0.5000 x16
O  0.1159  0.3750  0.8750 x48
O  0.1250  0.1250  0.1250 x8
O  0.1250  0.1250  0.6250 x8